No. 1
Calculated PXRD pattern
Compound: Li2Sn3P4O14
Radiation: Cu Kα X-rays
Structure: a GGA-PBE-relaxed structure
Kinematic intensities with the Lorentz-polarization factor, no thermal factor.

The 12 most intense peaks (2θ from 10° to 90°), by intensity:
2θ/deg, I_rel
11.69, 100
33.86, 89
27.34, 86
30.48, 83
16.13, 82
23.44, 80
27.69, 77
25.86, 71
29.61, 67
41.77, 52
20.20, 50
32.63, 49

```
Li2Sn3P4O14
1.0
8.0033 0.0000 0.0000
0.0000 8.2006 0.0000
-3.6432 0.0000 10.5908
Li Sn P O
4 6 8 28
direct
0.2061 0.0656 0.1786
0.2061 0.4344 0.6786
0.7939 0.5656 0.3214
0.7939 0.9344 0.8214
0.2879 0.1225 0.4960
0.2879 0.3775 0.9960
0.5000 0.0000 0.0000
0.5000 0.5000 0.5000
0.7121 0.6225 0.0040
0.7121 0.8775 0.5040
0.1046 0.0417 0.7258
0.1046 0.4583 0.2258
0.3635 0.7075 0.1905
0.3635 0.7925 0.6905
0.6365 0.2075 0.3095
0.6365 0.2925 0.8095
0.8954 0.5417 0.7742
0.8954 0.9583 0.2742
0.0913 0.5091 0.7970
0.0913 0.9909 0.2970
0.1350 0.1695 0.6321
0.1350 0.3305 0.1321
0.1747 0.6335 0.1896
0.1747 0.8665 0.6896
0.2088 0.0818 0.8632
0.2088 0.4182 0.3632
0.3245 0.6204 0.6369
0.3245 0.8796 0.1369
0.4254 0.5956 0.1006
0.4254 0.9044 0.6006
0.4935 0.7001 0.3261
0.4935 0.7999 0.8261
0.5065 0.2001 0.1739
0.5065 0.2999 0.6739
0.5746 0.0956 0.3994
0.5746 0.4044 0.8994
0.6755 0.1204 0.8631
0.6755 0.3796 0.3631
0.7912 0.5818 0.6368
0.7912 0.9182 0.1368
0.8253 0.1335 0.3104
0.8253 0.3665 0.8104
0.8650 0.6695 0.8679
0.8650 0.8305 0.3679
0.9087 0.0091 0.7030
0.9087 0.4909 0.2030
```



No. 2
Calculated PXRD pattern
Compound: Li2Ti3SnP6O24
Radiation: Cu Kα X-rays
Structure: a GGA-PBE-relaxed structure
Kinematic intensities with the Lorentz-polarization factor, no thermal factor.

The 12 most intense peaks (2θ from 10° to 90°), by intensity:
2θ/deg, I_rel
24.08, 100
20.48, 97
35.92, 38
29.13, 38
32.62, 38
14.45, 31
46.84, 26
49.33, 19
56.16, 18
31.86, 17
56.23, 15
12.50, 15

```
Li2Ti3SnP6O24
1.0
4.3286 2.4991 7.1021
-4.3286 2.4991 7.1021
0.0000 -4.9982 7.1021
Li Ti Sn P O
2 3 1 6 24
direct
0.0000 0.0000 0.0000
0.4976 0.4976 0.4976
0.1393 0.1393 0.1393
0.3551 0.3551 0.3551
0.6396 0.6396 0.6396
0.8555 0.8555 0.8555
0.0401 0.4526 0.7468
0.2505 0.9572 0.5357
0.4526 0.7468 0.0401
0.5357 0.2505 0.9572
0.7468 0.0401 0.4526
0.9572 0.5357 0.2505
0.0128 0.6118 0.7979
0.0566 0.2634 0.9139
0.0858 0.9439 0.7277
0.1209 0.4934 0.3050
0.1937 0.9978 0.3727
0.2285 0.4324 0.5802
0.2634 0.9139 0.0566
0.3050 0.1209 0.4934
0.3727 0.1937 0.9978
0.4160 0.7675 0.5535
0.4324 0.5802 0.2285
0.4934 0.3050 0.1209
0.4982 0.6952 0.8717
0.5535 0.4160 0.7675
0.5802 0.2285 0.4324
0.6118 0.7979 0.0128
0.6952 0.8717 0.4982
0.7277 0.0858 0.9438
0.7675 0.5535 0.4160
0.7979 0.0128 0.6118
0.8717 0.4982 0.6952
0.9139 0.0566 0.2634
0.9438 0.7277 0.0858
0.9978 0.3727 0.1937
```



> Which formula does entry 1 have?

Li2Sn3P4O14